The following is a computed powder diffractogram of Ba3Nb5O15. It was derived from a cell relaxed with PBE, using λ = 1.5418 Å (Cu Kα).

Main lines, in order of rising 2θ (10° ≤ 2θ ≤ 90°):
2θ/deg	I/Imax	hkl
25.3	196	3 2 0
27.2	493	2 1 1
29.0	466	4 1 0
29.9	248	2 2 1
31.6	1000	3 1 1
45.2	295	0 0 2
48.7	128	6 0 1
50.9	150	5 5 0
54.7	155	4 1 2
56.2	262	4 2 2

Cell and atoms:
a = 12.6829 Å, b = 12.6829 Å, c = 4.0091 Å
α = 90.00°, β = 90.00°, γ = 90.00°
Space group P4/mbm (No. 127)
Unique sites:
Ba 0.0000 0.0000 0.0000
Ba 0.1682 0.3318 0.0000
Nb 0.0000 0.5000 0.5000
Nb 0.0780 0.7871 0.5000
O 0.0000 0.5000 0.0000
O 0.0083 0.3427 0.5000
O 0.0675 0.1395 0.5000
O 0.0791 0.7906 0.0000
O 0.2223 0.7223 0.5000

The following is a computed powder diffractogram of AgCS6. It was derived from a cell relaxed with PBE, using λ = 1.5418 Å (Cu Kα).

Main lines, in order of rising 2θ (10° ≤ 2θ ≤ 90°):
2θ/deg	I/Imax	hkl
17.8	191	1 1 1
20.5	1000	2 0 0
29.2	141	2 2 0
34.4	520	3 1 1
41.8	379	4 0 0
45.7	499	3 3 1
47.0	273	4 2 0
55.1	165	3 3 3
60.5	181	4 4 0
86.4	185	7 3 1

Cell and atoms:
a = 8.6538 Å, b = 8.6538 Å, c = 8.6538 Å
α = 90.00°, β = 90.00°, γ = 90.00°
Space group F-43m (No. 216)
Unique sites:
Ag 0.0000 0.0000 0.0000
C 0.2500 0.2500 0.2500
S 0.0000 0.0000 0.2916

The following is a computed powder diffractogram of Ho2TmFe3Co6. It was derived from a cell relaxed with PBE, using λ = 1.5418 Å (Cu Kα).

Main lines, in order of rising 2θ (10° ≤ 2θ ≤ 90°):
2θ/deg	I/Imax	hkl
20.7	155	1 0 1
33.6	538	1 0 7
35.6	585	1 1 0
36.8	397	0 1 8
41.5	431	0 2 1
42.6	1000	1 1 6
62.7	182	2 1 7
68.8	229	3 0 6
70.6	244	2 0 14
75.4	221	2 2 0

Cell and atoms:
a = 5.0427 Å, b = 5.0427 Å, c = 23.6052 Å
α = 90.00°, β = 90.00°, γ = 120.00°
Space group R-3m (No. 166, hexagonal axes)
Unique sites:
Ho 0.0000 0.0000 0.1407
Tm 0.0000 0.0000 0.0000
Fe 0.0000 0.0000 0.3334
Fe 0.0000 0.0000 0.5000
Co 0.0012 0.5006 0.9183

The following is a computed powder diffractogram of CdB4Os. It was derived from a cell relaxed with PBE, using λ = 1.5418 Å (Cu Kα).

Main lines, in order of rising 2θ (10° ≤ 2θ ≤ 90°):
2θ/deg	I/Imax	hkl
11.3	241	0 0 1
22.8	575	0 0 2
34.4	697	1 0 0
41.6	1000	1 0 2
59.1	312	1 0 4
61.5	169	1 1 0
66.5	192	1 1 2
77.0	161	2 0 2
80.5	148	1 1 4
82.9	127	1 0 6

Cell and atoms:
a = 3.0145 Å, b = 3.0145 Å, c = 7.8085 Å
α = 90.00°, β = 90.00°, γ = 120.00°
Space group P6/mmm (No. 191)
Unique sites:
Cd 0.0000 0.0000 0.0000
B 0.3333 0.6667 0.2852
Os 0.0000 0.0000 0.5000

The following is a computed powder diffractogram of GdHoGe2Mo2C. It was derived from a cell relaxed with PBE, using λ = 1.5418 Å (Cu Kα).

Main lines, in order of rising 2θ (10° ≤ 2θ ≤ 90°):
2θ/deg	I/Imax	hkl
30.3	246	2 0 1
32.0	186	1 1 1
32.7	320	4 0 -1
33.5	724	3 1 -1
34.9	1000	1 1 -2
37.4	285	3 1 0
39.8	348	4 0 -3
46.4	203	3 1 1
47.4	285	0 2 0
63.5	276	4 2 -3

Cell and atoms:
a = 11.1855 Å, b = 3.8362 Å, c = 7.2246 Å
α = 90.00°, β = 124.12°, γ = 90.00°
Space group Cm (No. 8)
Unique sites:
Gd 0.0000 0.0000 0.0000
Ho 0.1434 0.0000 0.5790
Ge 0.2091 0.5000 0.9509
Ge 0.4352 0.0000 0.6292
Mo 0.2755 0.5000 0.3694
Mo 0.3694 0.0000 0.2134
C 0.0731 0.5000 0.2942

The following is a computed powder diffractogram of Te2Pt3Cl. It was derived from a cell relaxed with PBE, using λ = 1.5418 Å (Cu Kα).

Main lines, in order of rising 2θ (10° ≤ 2θ ≤ 90°):
2θ/deg	I/Imax	hkl
17.8	734	1 0 0
19.9	196	0 0 1
36.0	395	2 0 0
37.1	689	1 1 1
40.4	297	0 0 2
41.5	1000	2 0 1
55.2	237	2 0 2
64.7	321	2 2 0
74.2	185	2 0 3
79.1	253	2 2 2

Cell and atoms:
a = 5.7622 Å, b = 5.7622 Å, c = 4.4629 Å
α = 90.00°, β = 90.00°, γ = 120.00°
Space group P6/mmm (No. 191)
Unique sites:
Te 0.3333 0.6667 0.0000
Pt 0.0000 0.5000 0.5000
Cl 0.0000 0.0000 0.0000

The following is a computed powder diffractogram of CuAg. It was derived from a cell relaxed with PBE, using λ = 1.5418 Å (Cu Kα).

Main lines, in order of rising 2θ (10° ≤ 2θ ≤ 90°):
2θ/deg	I/Imax	hkl
34.7	103	1 0 3
37.2	191	1 0 4
39.5	75	0 0 8
40.1	1000	1 0 5
43.5	106	1 0 6
44.9	487	1 1 0
61.3	77	1 1 8
65.4	147	2 0 0
75.4	63	1 0 13
79.6	241	2 1 5

Cell and atoms:
a = 2.8523 Å, b = 2.8523 Å, c = 18.2611 Å
α = 90.00°, β = 90.00°, γ = 90.00°
Space group P4mm (No. 99)
Unique sites:
Cu 0.0000 0.0000 0.0000
Cu 0.0000 0.0000 0.1624
Cu 0.0000 0.0000 0.7962
Cu 0.5000 0.5000 0.0813
Cu 0.5000 0.5000 0.7151
Ag 0.0000 0.0000 0.3808
Ag 0.0000 0.0000 0.6144
Ag 0.5000 0.5000 0.2632
Ag 0.5000 0.5000 0.4973
Ag 0.5000 0.5000 0.8982

The following is a computed powder diffractogram of Pr2SmSn4Au4. It was derived from a cell relaxed with PBE, using λ = 1.5418 Å (Cu Kα).

Main lines, in order of rising 2θ (10° ≤ 2θ ≤ 90°):
2θ/deg	I/Imax	hkl
31.1	228	0 1 5
31.5	1000	1 2 1
32.2	687	1 1 4
34.3	455	0 0 6
35.6	395	1 2 3
38.2	536	2 0 0
40.9	339	0 3 3
42.6	432	1 2 5
52.3	210	2 0 6
57.3	255	2 3 3

Cell and atoms:
a = 4.7064 Å, b = 7.2977 Å, c = 15.6735 Å
α = 90.00°, β = 90.00°, γ = 90.00°
Space group Immm (No. 71)
Unique sites:
Pr 0.0000 0.0000 0.1296
Sm 0.0000 0.5000 0.0000
Sn 0.0000 0.3015 0.5000
Sn 0.0000 0.5000 0.2136
Au 0.0000 0.1996 0.3313

The following is a computed powder diffractogram of SmY2O4. It was derived from a cell relaxed with PBE, using λ = 1.5418 Å (Cu Kα).

Main lines, in order of rising 2θ (10° ≤ 2θ ≤ 90°):
2θ/deg	I/Imax	hkl
26.1	455	2 2 0
30.7	1000	3 1 1
32.1	104	2 2 2
46.1	191	4 2 2
49.0	388	5 1 1
53.7	396	4 4 0
63.2	125	5 3 3
73.4	100	6 4 2
75.7	211	5 5 3
87.5	123	5 5 5

Cell and atoms:
a = 9.6537 Å, b = 9.6537 Å, c = 9.6537 Å
α = 90.00°, β = 90.00°, γ = 90.00°
Space group Fd-3m (No. 227, origin choice 2)
Unique sites:
Sm 0.1250 0.1250 0.1250
Y 0.0000 0.0000 0.5000
O 0.0103 0.0103 0.7397

The following is a computed powder diffractogram of CsSnHg3Se4. It was derived from a cell relaxed with PBE, using λ = 1.5418 Å (Cu Kα).

Main lines, in order of rising 2θ (10° ≤ 2θ ≤ 90°):
2θ/deg	I/Imax	hkl
13.9	717	0 1 1
23.5	383	0 2 1
25.7	348	1 2 -1
25.9	352	0 0 3
26.6	387	2 1 -1
27.9	279	0 2 2
28.2	288	0 1 3
33.0	456	2 2 0
35.4	1000	2 2 1
44.8	478	2 2 -4

Cell and atoms:
a = 7.4381 Å, b = 8.1383 Å, c = 10.5166 Å
α = 90.00°, β = 101.23°, γ = 90.00°
Space group P2_1/m (No. 11)
Unique sites:
Cs 0.2223 0.2500 0.1204
Sn 0.0449 0.7500 0.3059
Hg 0.2478 0.5477 0.5167
Hg 0.4556 0.2500 0.7499
Se 0.1964 0.0080 0.7675
Se 0.2164 0.7500 0.1135
Se 0.4184 0.2500 0.4748

The following is a computed powder diffractogram of Y2HoHg. It was derived from a cell relaxed with PBE, using λ = 1.5418 Å (Cu Kα).

Main lines, in order of rising 2θ (10° ≤ 2θ ≤ 90°):
2θ/deg	I/Imax	hkl
13.5	129	0 1 1
27.3	128	0 3 1
32.4	1000	1 2 2
32.5	162	1 3 1
33.7	147	0 4 0
35.0	280	2 0 0
37.8	183	1 1 3
44.9	107	2 3 1
61.2	187	3 2 2
64.9	101	1 7 1

Cell and atoms:
a = 5.1243 Å, b = 10.6457 Å, c = 8.3299 Å
α = 90.00°, β = 90.00°, γ = 90.00°
Space group Ama2 (No. 40)
Unique sites:
Y 0.2500 0.1108 0.0000
Y 0.2500 0.3867 0.2066
Ho 0.2500 0.3875 0.7915
Hg 0.2500 0.1780 0.4974

The following is a computed powder diffractogram of Li2As7Pd12. It was derived from a cell relaxed with PBE, using λ = 1.5418 Å (Cu Kα).

Main lines, in order of rising 2θ (10° ≤ 2θ ≤ 90°):
2θ/deg	I/Imax	hkl
17.3	376	1 1 0
35.2	1000	2 1 1
38.1	194	3 0 1
43.5	429	4 -1 1
44.6	272	3 2 0
46.3	225	0 0 2
47.0	341	1 4 0
47.1	230	0 4 1
68.1	189	1 4 2
79.6	185	5 3 1

Cell and atoms:
a = 10.2296 Å, b = 10.2296 Å, c = 3.9245 Å
α = 90.00°, β = 90.00°, γ = 120.00°
Space group P3 (No. 143)
Unique sites:
Li 0.0000 0.0000 0.0000
Li 0.3333 0.6667 0.4989
As 0.0840 0.4596 0.0021
As 0.2489 0.2081 0.4974
As 0.6667 0.3333 0.2244
Pd 0.0469 0.2754 0.4987
Pd 0.1063 0.7138 0.0003
Pd 0.4081 0.1835 0.9892
Pd 0.5199 0.4383 0.5130